Computed powder diffraction line list of PrNd2Mg4In2 for CuKα, from a DFT-relaxed cell (PBE, OQMD).
Neutral-atom scattering factors, no anomalous dispersion.

Crystal structure
```
data_PrNd2Mg4In2
_cell_length_a 4.798
_cell_length_b 13.429
_cell_length_c 7.734
_cell_angle_alpha 90.00
_cell_angle_beta 90.00
_cell_angle_gamma 90.00
_space_group_name_H-M_alt 'A m m 2'
_space_group_IT_number 38
_space_group_name_Hall 'A 2 -2'
loop_
_atom_site_label
_atom_site_type_symbol
_atom_site_fract_x
_atom_site_fract_y
_atom_site_fract_z
Pr1 Pr 0.000 0.000 0.000
Nd1 Nd 0.000 0.215 0.643
Mg1 Mg 0.000 0.000 0.430
Mg2 Mg 0.500 0.000 0.672
Mg3 Mg 0.500 0.122 0.307
In1 In 0.500 0.167 0.928
```

Principal peaks in the range 5° ≤ 2θ ≤ 70°, in order of rising 2θ:
| two_theta | I (rel.) | h k l |
| --- | --- | --- |
| 13.2 | 50.1 | 0 2 0 |
| 23.0 | 17.9 | 0 3 1 |
| 29.6 | 100.0 | 1 0 2 |
| 32.6 | 91.3 | 1 2 2 |
| 35.4 | 28.9 | 0 5 1 |
| 37.5 | 25.3 | 2 0 0 |
| 52.5 | 18.5 | 2 5 1 |
| 63.3 | 20.2 | 2 2 4 |



Computed powder diffraction line list of Tb3ThAs4 for CuKα, from a DFT-relaxed cell (PBE, OQMD).
Neutral-atom scattering factors, no anomalous dispersion.

Crystal structure
```
data_Tb3ThAs4
_cell_length_a 8.331
_cell_length_b 11.784
_cell_length_c 4.177
_cell_angle_alpha 90.00
_cell_angle_beta 90.00
_cell_angle_gamma 90.00
_space_group_name_H-M_alt 'C m m m'
_space_group_IT_number 65
_space_group_name_Hall '-C 2 2'
loop_
_atom_site_label
_atom_site_type_symbol
_atom_site_fract_x
_atom_site_fract_y
_atom_site_fract_z
Tb1 Tb 0.000 0.000 0.000
Tb2 Tb 0.250 0.250 0.500
Th1 Th 0.000 0.500 0.000
As1 As 0.000 0.248 0.000
As2 As 0.246 0.000 0.500
```

Principal peaks in the range 5° ≤ 2θ ≤ 70°, in order of rising 2θ:
| two_theta | I (rel.) | h k l |
| --- | --- | --- |
| 26.2 | 27.9 | 2 2 0 |
| 30.3 | 100.0 | 2 0 1 |
| 43.4 | 62.7 | 2 4 1 |
| 43.5 | 12.5 | 4 0 0 |
| 51.4 | 11.7 | 4 2 1 |
| 53.8 | 13.4 | 0 4 2 |
| 53.9 | 13.3 | 4 4 0 |
| 63.1 | 12.4 | 4 0 2 |



Computed powder diffraction line list of BPt2Au for CuKα, from a DFT-relaxed cell (PBE, OQMD).
Neutral-atom scattering factors, no anomalous dispersion.

Crystal structure
```
data_BPt2Au
_cell_length_a 6.164
_cell_length_b 6.164
_cell_length_c 6.164
_cell_angle_alpha 90.00
_cell_angle_beta 90.00
_cell_angle_gamma 90.00
_space_group_name_H-M_alt 'F -4 3 m'
_space_group_IT_number 216
_space_group_name_Hall 'F -4 2 3'
loop_
_atom_site_label
_atom_site_type_symbol
_atom_site_fract_x
_atom_site_fract_y
_atom_site_fract_z
B1 B 0.000 0.000 0.000
Pt1 Pt 0.000 0.000 0.500
Pt2 Pt 0.250 0.250 0.750
Au1 Au 0.250 0.250 0.250
```

Principal peaks in the range 5° ≤ 2θ ≤ 70°, in order of rising 2θ:
| two_theta | I (rel.) | h k l |
| --- | --- | --- |
| 25.0 | 23.7 | 1 1 1 |
| 29.0 | 13.3 | 2 0 0 |
| 41.4 | 100.0 | 2 2 0 |
| 49.0 | 12.2 | 3 1 1 |
| 51.3 | 3.8 | 2 2 2 |
| 60.0 | 17.0 | 4 0 0 |
| 66.1 | 5.1 | 3 3 1 |
| 68.0 | 5.0 | 4 2 0 |